(1)
Diffraction record for Li6Ni11O22. The XRD peak list is calculated, not measured: it uses a crystal structure in the Materials Project, relaxed with GGA+U and λ = 1.5418 Å (Cu Kα).

```
Li6Ni11O22
1.0
7.462 0.000 0.000
3.121 6.974 0.000
2.722 -0.468 7.193
Li Ni O
6 11 22
Direct
0.000 0.000 0.000 Li
0.091 0.731 0.278 Li
0.274 0.198 0.802 Li
0.458 0.635 0.366 Li
0.639 0.088 0.906 Li
0.823 0.530 0.471 Li
0.049 0.866 0.637 Ni
0.139 0.591 0.908 Ni
0.226 0.320 0.181 Ni
0.323 0.043 0.452 Ni
0.413 0.773 0.728 Ni
0.502 0.499 0.997 Ni
0.588 0.232 0.277 Ni
0.690 0.950 0.542 Ni
0.773 0.686 0.824 Ni
0.863 0.411 0.092 Ni
0.957 0.137 0.365 Ni
0.016 0.448 0.850 O
0.077 0.283 0.424 O
0.099 0.188 0.098 O
0.183 0.996 0.712 O
0.195 0.901 0.390 O
0.270 0.725 0.977 O
0.284 0.646 0.647 O
0.343 0.473 0.242 O
0.377 0.352 0.934 O
0.457 0.169 0.525 O
0.459 0.103 0.198 O
0.532 0.926 0.787 O
0.568 0.797 0.483 O
0.624 0.626 0.085 O
0.632 0.547 0.750 O
0.718 0.372 0.339 O
0.730 0.276 0.022 O
0.811 0.082 0.625 O
0.844 0.988 0.295 O
0.911 0.839 0.885 O
0.924 0.735 0.555 O
0.992 0.540 0.172 O
```

Principal peaks in the range 2θ = 15–90°, low angle first:
| index | 2theta | I/Imax |
| --- | --- | --- |
| 0 1 1 | 18.30 | 100 |
| 2 -1 2 | 36.68 | 12 |
| 1 2 -2 | 36.84 | 12 |
| 0 2 2 | 37.10 | 5 |
| 3 2 1 | 37.42 | 11 |
| 2 -2 1 | 44.12 | 18 |
| 1 1 -3 | 44.25 | 18 |
| 3 3 2 | 44.82 | 17 |


(2)
Diffraction record for FeO2. The XRD peak list is calculated, not measured: it uses a crystal structure in the Materials Project, relaxed with GGA+U and λ = 1.5418 Å (Cu Kα).

```
FeO2
1.0
2.909 0.000 0.000
-1.455 2.520 0.000
0.000 0.000 20.874
Fe O
3 6
Direct
0.000 0.000 0.000 Fe
0.333 0.667 0.667 Fe
0.667 0.333 0.333 Fe
0.000 0.000 0.379 O
0.000 0.000 0.621 O
0.333 0.667 0.046 O
0.333 0.667 0.288 O
0.667 0.333 0.712 O
0.667 0.333 0.954 O
```

Principal peaks in the range 2θ = 15–90°, low angle first:
| index | 2theta | I/Imax |
| --- | --- | --- |
| 0 0 6 | 25.61 | 53 |
| 1 0 1 | 35.90 | 27 |
| 0 1 2 | 36.69 | 77 |
| 0 1 5 | 41.88 | 100 |
| 0 1 8 | 50.34 | 62 |
| 1 0 10 | 57.32 | 23 |
| 1 1 0 | 64.00 | 27 |
| 1 1 3 | 65.56 | 39 |


(3)
Diffraction record for MoH4O5. The XRD peak list is calculated, not measured: it uses a crystal structure in the Materials Project, relaxed with GGA+U and λ = 1.5418 Å (Cu Kα).

```
MoH4O5
1.0
4.080 0.000 0.000
-1.194 6.899 0.000
-0.199 -0.370 7.538
Mo H O
2 8 10
Direct
0.079 0.002 0.251 Mo
0.921 0.998 0.749 Mo
0.038 0.353 0.158 H
0.049 0.353 0.667 H
0.366 0.414 0.910 H
0.367 0.421 0.406 H
0.633 0.579 0.594 H
0.634 0.586 0.090 H
0.951 0.647 0.333 H
0.962 0.647 0.842 H
0.000 0.000 0.000 O
0.000 0.000 0.500 O
0.077 0.278 0.773 O
0.081 0.280 0.263 O
0.495 0.997 0.742 O
0.500 0.500 0.000 O
0.500 0.500 0.500 O
0.505 0.003 0.258 O
0.919 0.720 0.737 O
0.923 0.722 0.227 O
```

Principal peaks in the range 2θ = 15–90°, low angle first:
| index | 2theta | I/Imax |
| --- | --- | --- |
| 1 0 0 | 22.12 | 44 |
| 1 -1 0 | 23.62 | 100 |
| 0 2 0 | 25.86 | 42 |
| 0 1 -2 | 26.39 | 44 |
| 0 1 2 | 27.54 | 42 |
| 1 0 -2 | 31.99 | 19 |
| 0 3 0 | 39.21 | 19 |
| 0 3 -2 | 45.17 | 19 |


(4)
Diffraction record for SrLa2Co3O9. The XRD peak list is calculated, not measured: it uses a crystal structure in the Materials Project, relaxed with GGA+U and λ = 1.5418 Å (Cu Kα).

```
SrLa2Co3O9
1.0
5.462 0.000 0.000
-2.714 4.829 0.000
-0.037 -0.077 13.668
Sr La Co O
2 4 6 18
Direct
0.000 0.000 0.000 Sr
0.019 0.994 0.497 Sr
0.342 0.680 0.834 La
0.353 0.671 0.329 La
0.665 0.320 0.166 La
0.676 0.314 0.664 La
0.009 0.996 0.248 Co
0.009 0.996 0.748 Co
0.339 0.663 0.076 Co
0.345 0.660 0.578 Co
0.674 0.334 0.918 Co
0.680 0.331 0.421 Co
0.046 0.490 0.474 O
0.120 0.751 0.658 O
0.140 0.269 0.659 O
0.156 0.297 0.170 O
0.235 0.861 0.186 O
0.354 0.226 0.344 O
0.380 0.157 0.805 O
0.459 0.474 0.977 O
0.494 0.990 0.994 O
0.527 0.007 0.505 O
0.561 0.520 0.520 O
0.638 0.834 0.692 O
0.664 0.766 0.153 O
0.784 0.132 0.310 O
0.862 0.696 0.327 O
0.879 0.724 0.838 O
0.899 0.241 0.839 O
0.975 0.506 0.023 O
```

Principal peaks in the range 2θ = 15–90°, low angle first:
| index | 2theta | I/Imax |
| --- | --- | --- |
| 0 1 4 | 32.19 | 100 |
| 1 -2 0 | 32.30 | 66 |
| 2 -1 0 | 32.79 | 33 |
| 0 2 -4 | 45.90 | 22 |
| 2 0 4 | 46.60 | 40 |
| -1 1 8 | 57.36 | 13 |
| 1 2 4 | 57.45 | 20 |
| 3 -2 4 | 58.29 | 13 |


(5)
Diffraction record for LiCoPt3O6. The XRD peak list is calculated, not measured: it uses a crystal structure in the Materials Project, relaxed with GGA+U and λ = 1.5418 Å (Cu Kα).

```
LiCoPt3O6
1.0
6.415 0.000 0.000
0.000 3.034 0.000
-0.648 0.000 6.719
Li Co Pt O
1 1 3 6
Direct
0.000 0.000 0.000 Li
0.216 0.500 0.696 Co
0.256 0.000 0.274 Pt
0.713 0.000 0.737 Pt
0.739 0.500 0.256 Pt
0.029 0.000 0.726 O
0.064 0.500 0.347 O
0.400 0.000 0.742 O
0.429 0.500 0.182 O
0.659 0.500 0.539 O
0.788 0.500 0.954 O
```

Principal peaks in the range 2θ = 15–90°, low angle first:
| index | 2theta | I/Imax |
| --- | --- | --- |
| 0 0 2 | 26.53 | 100 |
| 2 0 0 | 27.95 | 78 |
| 1 1 -1 | 34.84 | 93 |
| 1 1 1 | 35.90 | 78 |
| 2 0 -2 | 36.93 | 35 |
| 1 1 -3 | 51.63 | 33 |
| 3 1 -1 | 53.27 | 30 |
| 3 1 1 | 55.51 | 28 |


(6)
Diffraction record for MgTiCo5O12. The XRD peak list is calculated, not measured: it uses a crystal structure in the Materials Project, relaxed with GGA+U and λ = 1.5418 Å (Cu Kα).

```
MgTiCo5O12
1.0
4.948 0.000 0.000
2.468 4.328 0.000
1.260 -0.076 9.892
Mg Ti Co O
1 1 5 12
Direct
0.000 0.000 0.000 Mg
0.082 0.664 0.727 Ti
0.268 0.332 0.250 Co
0.408 0.001 0.757 Co
0.599 0.666 0.254 Co
0.739 0.335 0.758 Co
0.929 0.001 0.268 Co
0.052 0.320 0.859 O
0.103 0.016 0.656 O
0.238 0.658 0.351 O
0.265 0.010 0.152 O
0.367 0.686 0.857 O
0.449 0.313 0.657 O
0.563 0.021 0.350 O
0.644 0.302 0.152 O
0.723 0.999 0.856 O
0.746 0.670 0.656 O
0.927 0.326 0.351 O
0.968 0.681 0.152 O
```

Principal peaks in the range 2θ = 15–90°, low angle first:
| index | 2theta | I/Imax |
| --- | --- | --- |
| 0 0 2 | 17.94 | 100 |
| 1 -1 1 | 36.62 | 16 |
| 1 2 1 | 36.75 | 8 |
| 2 1 2 | 38.86 | 8 |
| 2 1 -2 | 43.15 | 9 |
| 1 2 3 | 44.35 | 7 |
| 1 2 -3 | 47.01 | 8 |
| -1 1 3 | 47.30 | 8 |